# Cs2KCdCl4
Computed powder X-ray diffraction pattern, Cu Kα (weighted mean of Kα1 and Kα2). Input: a DFT-relaxed cell (PBE, Alexandria).

Peak list (8 most intense, 10 to 90 degrees two-theta, sorted by position)
d 6.427, intensity 42.5
d 4.965, intensity 64.2
d 3.776, intensity 78.3
d 3.729, intensity 100.0
d 3.226, intensity 31.0
d 3.046, intensity 64.3
d 2.726, intensity 43.0
d 2.612, intensity 38.7

Structural model:
```
Cs2KCdCl4
1.0
0.0000 7.9896 12.8544
3.2947 0.0000 12.8544
3.2947 7.9896 0.0000
Cs K Cd Cl
4 2 2 8
Cartesian
2.4710 5.9922 1.5804
4.1184 9.9870 8.0076
2.4710 5.9922 17.7012
4.1184 9.9870 24.1284
0.8237 1.9974 3.2136
5.7658 13.9818 22.4952
2.4710 5.9922 9.6408
4.1184 9.9870 16.0680
2.5389 3.9932 4.5385
2.4032 7.9913 4.5385
4.0506 7.9880 10.9657
2.4032 3.9932 14.7431
4.1862 11.9861 10.9657
2.5389 7.9913 14.7431
4.1862 7.9880 21.1703
4.0506 11.9861 21.1703
```